Entry 1:
Diffraction record for Ba6Na2P2Ru2O17. The powder diffractogram is simulated, not measured: it uses a DFT-relaxed cell (GGA-PBE, the Materials Project) and Cu Ka.
Kinematic intensities with the Lorentz-polarization factor, no thermal factor.

Peak list (12 most intense, 15° ≤ 2θ ≤ 90°, by intensity)
2θ/deg	d/Å	Rel. int.
30.46	2.935	100
29.85	2.993	49
43.17	2.095	28
21.20	4.191	25
27.42	3.252	24
54.13	1.694	20
63.39	1.467	18
53.75	1.705	16
43.40	2.085	15
41.44	2.179	13
37.41	2.404	12
88.06	1.109	10

Structural model:
```
Ba6Na2P2Ru2O17
1.0
5.869 0.000 0.000
-2.935 5.083 0.000
0.000 0.000 29.625
Ba Na P Ru O
12 4 4 4 34
Cartesian
0.000 0.000 0.000 Ba
0.000 0.000 7.406 Ba
0.000 0.000 14.812 Ba
0.000 0.000 22.219 Ba
0.000 3.389 2.662 Ba
0.000 3.389 12.150 Ba
0.000 3.389 20.076 Ba
0.000 3.389 24.361 Ba
2.935 1.694 5.264 Ba
2.935 1.694 9.549 Ba
2.935 1.694 17.475 Ba
2.935 1.694 26.962 Ba
0.000 0.000 3.613 Na
0.000 0.000 11.199 Na
0.000 0.000 18.425 Na
0.000 0.000 26.012 Na
0.000 3.389 16.398 P
0.000 3.389 28.039 P
2.935 1.694 1.585 P
2.935 1.694 13.227 P
0.000 3.389 6.015 Ru
0.000 3.389 8.798 Ru
2.935 1.694 20.827 Ru
2.935 1.694 23.610 Ru
-1.354 2.607 7.406 O
0.000 1.787 4.988 O
0.000 1.787 9.825 O
-1.387 4.189 4.988 O
-1.387 4.189 9.825 O
0.000 1.919 16.952 O
0.000 1.919 27.485 O
-1.273 4.124 16.952 O
-1.273 4.124 27.485 O
0.000 3.389 14.853 O
0.000 3.389 29.584 O
1.548 0.893 19.800 O
1.548 0.893 24.637 O
1.662 0.959 2.140 O
1.662 0.959 12.672 O
1.354 2.607 7.406 O
0.000 4.952 7.406 O
2.935 0.131 22.219 O
1.581 2.476 22.219 O
1.273 4.124 16.952 O
1.273 4.124 27.485 O
1.387 4.189 4.988 O
1.387 4.189 9.825 O
2.935 1.694 0.040 O
2.935 1.694 14.772 O
4.208 0.959 2.140 O
4.208 0.959 12.672 O
2.935 3.164 2.140 O
2.935 3.164 12.672 O
4.322 0.893 19.800 O
4.322 0.893 24.637 O
2.935 3.296 19.800 O
2.935 3.296 24.637 O
4.288 2.476 22.219 O
```

***

Entry 2:
Diffraction record for Y2FeSi4. The powder diffractogram is simulated, not measured: it uses a DFT-relaxed cell (GGA-PBE, the Materials Project) and Cu Ka.
Kinematic intensities with the Lorentz-polarization factor, no thermal factor.

Peak list (12 most intense, 15° ≤ 2θ ≤ 90°, by intensity)
2θ/deg	d/Å	Rel. int.
36.01	2.494	100
36.83	2.440	42
31.77	2.817	36
44.11	2.053	28
45.30	2.002	26
25.15	3.541	25
42.27	2.138	24
22.43	3.964	22
59.75	1.548	19
77.57	1.231	17
65.08	1.433	17
35.50	2.529	16

Structural model:
```
Y2FeSi4
1.0
4.004 0.000 0.000
0.000 2.053 7.587
0.000 -2.053 7.587
Y Fe Si
2 1 4
Cartesian
0.000 0.000 0.000 Y
2.002 0.000 3.064 Y
0.000 0.000 12.082 Fe
0.000 0.000 5.418 Si
0.000 0.000 9.819 Si
2.002 0.000 8.249 Si
2.002 0.000 13.013 Si
```

***

Entry 3:
Diffraction record for LaH2S2NO9. The powder diffractogram is simulated, not measured: it uses a DFT-relaxed cell (GGA-PBE, the Materials Project) and Cu Ka.
Kinematic intensities with the Lorentz-polarization factor, no thermal factor.

Peak list (12 most intense, 15° ≤ 2θ ≤ 90°, by intensity)
2θ/deg	d/Å	Rel. int.
15.84	5.596	100
17.21	5.152	60
29.90	2.988	59
26.55	3.357	48
28.52	3.129	34
19.84	4.476	34
33.20	2.699	27
25.63	3.476	27
26.91	3.313	26
27.57	3.236	25
32.39	2.764	21
46.80	1.941	17

Structural model:
```
LaH2S2NO9
1.0
8.469 0.000 0.000
0.000 10.127 0.000
-7.357 0.000 9.568
La H S N O
4 8 8 4 36
Cartesian
-0.016 1.658 2.393 La
-3.695 3.406 7.177 La
4.807 6.721 2.390 La
1.129 8.470 7.174 La
-1.881 1.247 5.856 H
1.797 3.817 1.072 H
-1.586 1.068 7.411 H
2.092 3.996 2.627 H
-0.980 6.132 6.941 H
2.699 9.059 2.157 H
-0.685 6.311 8.495 H
2.993 8.881 3.712 H
-5.512 0.865 9.413 S
-1.834 4.199 4.629 S
-4.757 5.963 8.884 S
-1.079 9.228 4.100 S
2.191 0.900 5.468 S
5.870 4.164 0.684 S
2.946 5.928 4.938 S
6.625 9.263 0.154 S
0.374 6.528 2.199 N
-3.304 8.663 6.983 N
4.417 1.464 2.585 N
0.738 3.600 7.369 N
-6.754 1.703 9.427 O
-3.075 3.361 4.643 O
-5.773 6.865 8.310 O
-2.094 8.326 3.526 O
-2.002 5.356 3.714 O
-5.680 9.835 8.497 O
-1.586 0.507 4.197 O
-5.264 4.557 8.981 O
-4.368 1.681 8.944 O
-0.690 3.383 4.160 O
-3.567 5.910 7.981 O
0.112 9.281 3.198 O
2.045 0.396 1.245 O
-1.634 4.668 6.029 O
-2.083 1.609 6.749 O
1.596 3.454 1.965 O
2.993 6.466 0.655 O
-0.685 8.725 5.439 O
1.797 1.402 4.129 O
-1.881 3.662 8.913 O
-0.484 6.673 7.603 O
3.195 8.518 2.819 O
2.746 5.460 3.539 O
-0.933 9.732 8.323 O
1.001 0.846 6.370 O
4.679 4.218 1.586 O
1.802 6.745 5.408 O
5.481 8.447 0.624 O
6.377 5.571 0.586 O
2.698 9.620 5.370 O
6.792 0.292 1.070 O
3.114 4.772 5.854 O
3.207 1.801 6.042 O
6.885 3.263 1.258 O
4.188 6.766 4.925 O
7.866 8.425 0.141 O
```

***

Entry 4:
Diffraction record for Ti2MnAl. The powder diffractogram is simulated, not measured: it uses a DFT-relaxed cell (GGA-PBE, the Materials Project) and Cu Ka.
Kinematic intensities with the Lorentz-polarization factor, no thermal factor.

Peak list (10 most intense, 15° ≤ 2θ ≤ 90°, by intensity)
2θ/deg	d/Å	Rel. int.
40.85	2.209	100
74.39	1.275	29
59.15	1.562	15
88.54	1.104	9
24.68	3.607	4
28.58	3.124	4
48.32	1.884	2
66.99	1.397	1
50.61	1.804	1
65.08	1.433	1

Structural model:
```
Ti2MnAl
1.0
0.000 3.124 3.124
3.124 0.000 3.124
3.124 3.124 0.000
Ti Mn Al
2 1 1
Cartesian
0.000 0.000 0.000 Ti
1.562 1.562 1.562 Ti
4.686 4.686 4.686 Mn
3.124 3.124 3.124 Al
```

***

Entry 5:
Diffraction record for Ba2YC2O6F3. The powder diffractogram is simulated, not measured: it uses a DFT-relaxed cell (GGA-PBE, the Materials Project) and Cu Ka.
Kinematic intensities with the Lorentz-polarization factor, no thermal factor.

Peak list (12 most intense, 15° ≤ 2θ ≤ 90°, by intensity)
2θ/deg	d/Å	Rel. int.
23.60	3.770	100
27.37	3.258	79
45.68	1.986	48
25.13	3.543	31
30.80	2.903	31
31.43	2.846	30
43.36	2.087	23
40.52	2.226	22
17.52	5.061	22
48.28	1.885	18
40.91	2.206	18
40.68	2.218	17

Structural model:
```
Ba2YC2O6F3
1.0
9.602 0.000 0.000
0.000 7.087 0.000
0.000 0.000 11.911
Ba Y C O F
8 4 8 24 12
Cartesian
1.154 1.683 0.848 Ba
1.154 5.404 6.804 Ba
3.647 1.861 6.804 Ba
3.647 5.226 0.848 Ba
5.955 1.861 11.062 Ba
5.955 5.226 5.107 Ba
8.448 1.683 5.107 Ba
8.448 5.404 11.062 Ba
0.000 1.617 8.933 Y
0.000 5.470 2.978 Y
4.801 1.926 2.978 Y
4.801 5.161 8.933 Y
1.864 3.398 3.814 C
1.864 3.689 9.769 C
2.937 0.146 9.769 C
2.937 6.941 3.814 C
6.664 0.146 8.097 C
6.664 6.941 2.142 C
7.738 3.398 2.142 C
7.738 3.689 8.097 C
0.877 3.390 10.569 O
0.877 3.697 4.613 O
1.777 3.241 8.540 O
1.777 3.846 2.585 O
1.945 0.851 10.168 O
1.945 6.236 4.213 O
2.856 2.693 4.213 O
2.856 4.394 10.168 O
3.024 0.302 2.585 O
3.024 6.785 8.540 O
3.924 0.154 4.613 O
3.924 6.933 10.569 O
5.678 0.154 1.342 O
5.678 6.933 7.297 O
6.578 0.302 3.371 O
6.578 6.785 9.326 O
6.746 2.693 1.743 O
6.746 4.394 7.698 O
7.657 0.851 7.698 O
7.657 6.236 1.743 O
7.825 3.241 9.326 O
7.825 3.846 3.371 O
8.725 3.390 7.297 O
8.725 3.697 1.342 O
0.000 0.696 2.978 F
0.000 6.391 8.933 F
0.902 1.065 6.884 F
0.902 6.022 0.928 F
3.899 2.478 0.928 F
3.899 4.609 6.884 F
4.801 2.848 8.933 F
4.801 4.239 2.978 F
5.703 2.478 5.027 F
5.703 4.609 10.982 F
8.700 1.065 10.982 F
8.700 6.022 5.027 F
```

***

Entry 6:
Diffraction record for KCr5Se8. The powder diffractogram is simulated, not measured: it uses a DFT-relaxed cell (GGA-PBE, the Materials Project) and Cu Ka.
Kinematic intensities with the Lorentz-polarization factor, no thermal factor.

Peak list (12 most intense, 15° ≤ 2θ ≤ 90°, by intensity)
2θ/deg	d/Å	Rel. int.
31.32	2.856	100
32.58	2.748	66
49.81	1.831	57
31.01	2.884	44
49.32	1.848	31
37.18	2.418	29
38.98	2.311	28
44.88	2.020	27
33.45	2.679	27
30.47	2.933	23
56.31	1.634	20
44.05	2.056	18

Structural model:
```
KCr5Se8
1.0
9.488 -1.848 0.000
9.488 1.848 0.000
-2.363 0.000 8.800
K Cr Se
1 5 8
Cartesian
0.000 0.000 0.000 K
1.879 0.000 4.229 Cr
1.906 0.000 7.337 Cr
8.307 0.000 4.400 Cr
14.707 0.000 1.463 Cr
14.734 0.000 4.571 Cr
-0.126 0.000 5.765 Se
4.141 0.000 3.021 Se
6.214 0.000 0.097 Se
6.269 0.000 5.902 Se
10.345 0.000 2.898 Se
10.399 0.000 8.703 Se
12.473 0.000 5.779 Se
16.739 0.000 3.035 Se
```

***

Entry 7:
Diffraction record for SnF4. The powder diffractogram is simulated, not measured: it uses a DFT-relaxed cell (GGA-PBE, the Materials Project) and Cu Ka.
Kinematic intensities with the Lorentz-polarization factor, no thermal factor.

Peak list (12 most intense, 15° ≤ 2θ ≤ 90°, by intensity)
2θ/deg	d/Å	Rel. int.
16.52	5.366	100
24.98	3.565	59
30.60	2.922	38
29.58	3.020	36
49.60	1.838	22
51.25	1.783	21
41.39	2.182	16
42.90	2.108	15
39.48	2.283	14
48.29	1.885	13
57.83	1.594	12
50.96	1.792	10

Structural model:
```
SnF4
1.0
5.819 -2.522 0.000
5.819 2.522 0.000
-1.953 0.000 4.653
Sn F
2 8
Cartesian
2.910 1.261 0.000 Sn
1.933 -1.261 2.326 Sn
0.390 0.003 2.881 F
1.366 -0.003 0.554 F
3.461 0.090 1.673 F
2.485 -0.090 4.000 F
7.202 0.090 0.653 F
6.225 -0.090 2.979 F
8.320 0.003 4.098 F
9.296 -0.003 1.772 F
```

***

Entry 8:
Diffraction record for PrMgSb2O6. The powder diffractogram is simulated, not measured: it uses a DFT-relaxed cell (GGA-PBE, the Materials Project) and Cu Ka.
Kinematic intensities with the Lorentz-polarization factor, no thermal factor.

Peak list (12 most intense, 15° ≤ 2θ ≤ 90°, by intensity)
2θ/deg	d/Å	Rel. int.
30.78	2.905	100
55.52	1.655	27
31.40	2.849	25
28.50	3.132	24
19.11	4.644	19
42.92	2.107	17
32.63	2.744	13
45.24	2.004	12
51.92	1.761	12
56.11	1.639	11
17.97	4.936	10
64.12	1.452	10

Structural model:
```
PrMgSb2O6
1.0
8.018 0.000 0.000
0.000 6.264 0.000
0.000 0.000 5.697
Pr Mg Sb O
2 2 4 12
Cartesian
0.000 1.072 0.000 Pr
4.009 5.191 2.849 Pr
0.000 4.505 2.821 Mg
4.009 1.758 5.670 Mg
1.971 4.521 0.001 Sb
2.038 1.743 2.849 Sb
5.980 1.743 2.849 Sb
6.047 4.521 0.001 Sb
0.000 2.248 3.577 O
0.000 5.036 4.795 O
1.449 5.547 1.718 O
1.485 2.750 0.788 O
2.524 3.513 3.637 O
2.559 0.717 4.567 O
4.009 1.227 1.946 O
4.009 4.016 0.729 O
5.458 0.717 4.567 O
5.494 3.513 3.637 O
6.533 2.750 0.788 O
6.568 5.547 1.718 O
```

***

Entry 9:
Diffraction record for Mg14VC. The powder diffractogram is simulated, not measured: it uses a DFT-relaxed cell (GGA-PBE, the Materials Project) and Cu Ka.
Kinematic intensities with the Lorentz-polarization factor, no thermal factor.

Peak list (12 most intense, 15° ≤ 2θ ≤ 90°, by intensity)
2θ/deg	d/Å	Rel. int.
37.99	2.369	100
33.09	2.707	25
36.74	2.446	24
71.65	1.317	18
59.11	1.563	17
67.00	1.397	16
50.27	1.815	14
72.45	1.305	13
18.73	4.737	6
32.04	2.794	3
69.44	1.354	3
81.22	1.184	3

Structural model:
```
Mg14VC
1.0
6.252 0.000 0.000
-3.126 5.414 0.000
0.000 0.000 9.784
Mg V C
14 1 1
Cartesian
0.000 0.000 2.411 Mg
0.000 0.000 7.373 Mg
-1.475 2.758 2.549 Mg
-1.475 2.758 7.235 Mg
1.542 0.890 4.892 Mg
1.590 0.918 0.000 Mg
1.475 2.758 2.549 Mg
1.475 2.758 7.235 Mg
0.000 5.313 2.549 Mg
0.000 5.313 7.235 Mg
4.662 0.918 0.000 Mg
3.126 3.578 0.000 Mg
4.710 0.890 4.892 Mg
3.126 3.634 4.892 Mg
0.000 3.610 0.000 V
0.000 3.610 4.892 C
```

***

Entry 10:
Diffraction record for LiTiS2. The powder diffractogram is simulated, not measured: it uses a DFT-relaxed cell (GGA-PBE, the Materials Project) and Cu Ka.
Kinematic intensities with the Lorentz-polarization factor, no thermal factor.

Peak list (12 most intense, 15° ≤ 2θ ≤ 90°, by intensity)
2θ/deg	d/Å	Rel. int.
33.33	2.688	100
41.96	2.153	76
53.23	1.721	33
53.81	1.704	25
83.78	1.155	16
69.99	1.344	15
64.27	1.449	12
88.13	1.108	11
55.40	1.659	9
79.11	1.211	8
59.35	1.557	7
29.98	2.980	5

Structural model:
```
LiTiS2
1.0
3.441 0.000 0.000
-1.721 2.980 0.000
0.000 0.000 6.228
Li Ti S
1 1 2
Cartesian
0.000 0.000 0.000 Li
0.000 0.000 3.114 Ti
0.000 1.987 1.640 S
1.721 0.993 4.588 S
```